1.
Diffraction record for LaNb7O19. The PXRD pattern is calculated, not measured: it uses the PBE geometry in Alexandria and Cu Kα, 1.54184 Å.
Intensities are scaled so that the largest is 1000.

Atomic structure:
```
54
Lattice="6.3420 0.0000 0.0000 -3.1710 5.4923 0.0000 0.0000 0.0000 20.3743" Properties=species:S:1:pos:R:3 pbc="T T T"
La 0.0000 3.6616 3.1177
La 3.1710 1.8308 17.2566
Nb -1.1378 1.9707 10.1872
Nb -2.0456 3.5432 0.0000
Nb -1.1336 1.9723 6.3515
Nb 0.0000 3.6616 17.1462
Nb 1.1254 1.9492 0.0000
Nb -0.8962 5.4880 6.3515
Nb 2.2756 0.0000 10.1872
Nb 2.2748 0.0044 14.0228
Nb 2.0332 3.5216 10.1872
Nb 2.0298 3.5245 6.3515
Nb 2.0374 3.5201 14.0228
Nb 4.0913 0.0000 0.0000
Nb 3.1710 1.8308 3.2281
Nb 5.2008 1.9679 14.0228
O -0.7683 1.3307 0.0000
O -2.3931 4.1456 6.2469
O 3.9484 4.1453 14.1274
O -2.4010 4.1586 10.1872
O -1.0939 2.2584 8.2134
O -1.0393 2.3584 16.1227
O -1.6067 3.3928 18.4524
O 1.5365 0.0000 0.0000
O 0.7701 1.3338 10.1872
O 0.7774 1.3470 6.2469
O 0.7779 1.3467 14.1274
O 0.0000 3.6616 0.4654
O 0.0000 3.6616 5.8034
O 0.0000 3.6616 10.4025
O 0.0000 3.6616 13.9134
O -0.6683 5.3105 8.2134
O -0.6090 5.2132 16.1227
O 1.0361 2.4045 18.4524
O 2.5028 0.1818 12.1609
O 2.5620 0.2791 4.2516
O 1.5644 2.0996 1.9219
O 0.5706 5.1874 18.4524
O 1.6482 3.4131 16.1227
O 1.7622 3.4158 8.2134
O 3.7416 0.3050 1.9219
O 2.1317 3.1340 4.2516
O 2.0771 3.2340 12.1609
O 3.1710 1.8308 6.4609
O 3.1710 1.8308 9.9719
O 3.1710 1.8308 14.5710
O 3.1710 1.8308 19.9090
O 1.6158 5.4921 6.2469
O 4.7868 0.0003 14.1274
O 4.8019 0.0000 10.1872
O 2.4027 4.1617 0.0000
O 4.2071 3.0878 1.9219
O 4.8192 2.0792 4.2516
O 4.9332 2.0765 12.1609
```

Peak list (6 most intense, 2θ from 15° to 90°, low angle first)
2theta	I (rel.)
16.1	539
26.2	732
28.5	1000
31.1	605
49.8	571
57.2	447

***

2.
Diffraction record for La3Nb8O24. The PXRD pattern is calculated, not measured: it uses the PBE geometry in Alexandria and Cu Kα, 1.54184 Å.
Intensities are scaled so that the largest is 1000.

Atomic structure:
```
35
Lattice="7.9701 -3.9629 0.0000 7.9701 3.9629 0.0000 -3.9773 0.0000 8.0558" Properties=species:S:1:pos:R:3 pbc="T T T"
La 0.0000 0.0000 0.0000
La -0.0699 0.0000 8.0553
La 12.0327 0.0000 0.0006
Nb 2.0338 1.9649 5.9626
Nb 6.0017 1.9545 2.0988
Nb 5.9612 1.9545 5.9571
Nb 9.9290 1.9649 2.0933
Nb 2.0338 -1.9649 5.9626
Nb 6.0017 -1.9545 2.0988
Nb 5.9612 -1.9545 5.9571
Nb 9.9290 -1.9649 2.0933
O 1.9964 1.9815 4.0279
O 3.9841 1.9880 1.7035
O -1.9005 0.0000 5.9659
O 6.0087 2.2982 0.0065
O 3.9948 2.0932 6.1520
O 2.0817 0.0000 2.0059
O 5.9814 1.7685 4.0279
O 7.9681 2.0932 1.9039
O 1.9168 0.0000 6.2847
O 5.9541 2.2982 8.0493
O 5.8781 0.0000 1.7034
O 7.9788 1.9880 6.3524
O 1.9964 -1.9815 4.0279
O 3.9841 -1.9880 1.7035
O 6.0848 0.0000 6.3525
O 6.0087 -2.2982 0.0065
O 10.0461 0.0000 1.7711
O 3.9948 -2.0932 6.1520
O 5.9814 -1.7685 4.0279
O 9.8811 0.0000 6.0499
O 7.9681 -2.0932 1.9039
O 5.9541 -2.2982 8.0493
O 13.8633 0.0000 2.0899
O 7.9788 -1.9880 6.3524
```

Peak list (6 most intense, 2θ from 15° to 90°, low angle first)
2theta	I (rel.)
31.6	991
31.7	1000
31.8	964
45.5	388
56.5	388
56.7	408

***

3.
Diffraction record for LaNb8O14. The PXRD pattern is calculated, not measured: it uses the PBE geometry in Alexandria and Cu Kα, 1.54184 Å.
Intensities are scaled so that the largest is 1000.

Atomic structure:
```
46
Lattice="9.2446 0.0000 0.0000 0.0000 10.4329 0.0000 0.0000 0.0000 6.0472" Properties=species:S:1:pos:R:3 pbc="T T T"
La 0.0000 0.0000 0.0000
La 4.6223 5.2164 0.0000
Nb 1.0515 1.7253 3.0236
Nb 1.1119 6.9249 0.0000
Nb 1.1675 4.4190 1.3972
Nb 1.1675 4.4190 4.6499
Nb 3.4548 9.6354 1.3972
Nb 3.4548 9.6354 4.6499
Nb 3.5104 1.7084 0.0000
Nb 3.5708 6.9418 3.0236
Nb 5.6739 3.4911 3.0236
Nb 5.7342 8.7245 0.0000
Nb 5.7898 0.7975 1.3972
Nb 5.7898 0.7975 4.6499
Nb 8.0772 6.0139 1.3972
Nb 8.0772 6.0139 4.6499
Nb 8.1327 3.5080 0.0000
Nb 8.1931 8.7075 3.0236
O 0.0000 0.0000 3.0236
O 0.0000 5.2164 3.0236
O 0.0309 2.5789 1.4761
O 0.0309 2.5789 4.5710
O 2.0999 8.9100 0.0000
O 2.1487 0.8693 1.4445
O 2.1487 0.8693 4.6027
O 2.1784 3.3429 3.0236
O 2.4439 8.5593 3.0236
O 2.4736 6.0858 1.4445
O 2.4736 6.0858 4.6027
O 2.5224 3.6936 0.0000
O 4.5914 7.7953 1.4761
O 4.5914 7.7953 4.5710
O 4.6223 0.0000 3.0236
O 4.6223 5.2164 3.0236
O 4.6532 2.6376 1.4761
O 4.6532 2.6376 4.5710
O 6.7222 6.7393 0.0000
O 6.7710 4.3471 1.4445
O 6.7710 4.3471 4.6027
O 6.8007 1.8736 3.0236
O 7.0663 7.0900 3.0236
O 7.0959 9.5636 1.4445
O 7.0959 9.5636 4.6027
O 7.1447 1.5229 0.0000
O 9.2137 7.8540 1.4761
O 9.2137 7.8540 4.5710
```

Peak list (6 most intense, 2θ from 15° to 90°, low angle first)
2theta	I (rel.)
25.7	934
31.2	893
32.3	1000
45.5	965
52.9	526
61.5	509

***

4.
Diffraction record for La3NbO7. The PXRD pattern is calculated, not measured: it uses the PBE geometry in Alexandria and Cu Kα, 1.54184 Å.
Intensities are scaled so that the largest is 1000.

Atomic structure:
```
44
Lattice="7.8281 0.0000 0.0000 0.0000 11.1816 0.0000 0.0000 0.0000 7.7845" Properties=species:S:1:pos:R:3 pbc="T T T"
La 0.0725 2.7954 1.6714
La 1.9491 5.8462 0.3394
La 1.9491 10.9263 0.3394
La 1.9649 0.2553 4.2316
La 1.9649 5.3355 4.2316
La 3.8415 8.3862 5.5636
La 3.9865 2.7954 2.2208
La 5.8632 5.8462 3.5528
La 5.8632 10.9263 3.5528
La 5.8789 0.2553 7.4451
La 5.8789 5.3355 7.4451
La 7.7556 8.3862 6.1131
Nb 0.0580 2.7954 5.8238
Nb 3.8561 8.3862 1.9316
Nb 3.9720 2.7954 5.8529
Nb 7.7701 8.3862 1.9607
O 0.2515 1.4365 7.4056
O 0.2515 4.1543 7.4056
O 0.3051 6.8924 3.1781
O 0.3051 9.8800 3.1781
O 1.9216 6.9091 6.0084
O 1.9216 9.8634 6.0084
O 1.9306 2.7954 5.2939
O 1.9834 8.3862 1.4017
O 1.9925 1.3182 2.1162
O 1.9925 4.2726 2.1162
O 3.6089 1.3016 7.0703
O 3.6089 4.2892 7.0703
O 3.6625 7.0273 3.5133
O 3.6625 9.7452 3.5133
O 4.1656 1.4365 4.2711
O 4.1656 4.1543 4.2711
O 4.2191 6.8924 0.7141
O 4.2191 9.8800 0.7141
O 5.8356 6.9091 5.6683
O 5.8356 9.8634 5.6683
O 5.8446 2.7954 6.3828
O 5.8975 8.3862 2.4906
O 5.9065 1.3182 1.7761
O 5.9065 4.2726 1.7761
O 7.5230 1.3016 4.6063
O 7.5230 4.2892 4.6063
O 7.5765 7.0273 0.3789
O 7.5765 9.7452 0.3789
```

Peak list (6 most intense, 2θ from 15° to 90°, low angle first)
2theta	I (rel.)
27.8	1000
27.9	888
32.0	217
32.4	402
46.2	473
55.0	255

***

5.
Diffraction record for LaNb3O8. The PXRD pattern is calculated, not measured: it uses the PBE geometry in Alexandria and Cu Kα, 1.54184 Å.
Intensities are scaled so that the largest is 1000.

Atomic structure:
```
12
Lattice="5.5524 0.0000 0.0000 -2.7762 4.8085 0.0000 0.0000 0.0000 6.1411" Properties=species:S:1:pos:R:3 pbc="T T T"
La 0.0000 0.0000 0.0000
Nb 0.0000 0.0000 3.0705
Nb 0.0000 3.2057 3.7553
Nb 2.7762 1.6028 2.3857
O -0.7335 1.7186 2.1721
O -0.9211 4.5844 2.1721
O 0.0000 3.2057 5.5754
O 1.1217 1.4945 3.9690
O 1.6545 3.3140 2.1721
O 2.7762 1.6028 0.5657
O 3.6973 0.2241 3.9690
O 3.5096 3.0899 3.9690
```

Peak list (6 most intense, 2θ from 15° to 90°, low angle first)
2theta	I (rel.)
18.5	322
23.5	602
32.2	1000
34.7	577
44.0	442
57.5	297

***

6.
Diffraction record for LaPrNb2O8. The PXRD pattern is calculated, not measured: it uses the PBE geometry in Alexandria and Cu Kα, 1.54184 Å.
Intensities are scaled so that the largest is 1000.

Atomic structure:
```
12
Lattice="-2.7142 2.7142 5.8439 2.7142 -2.7142 5.8439 2.7142 2.7142 -5.8439" Properties=species:S:1:pos:R:3 pbc="T T T"
La 0.0000 0.0000 0.0000
Pr 0.0000 2.7142 2.9219
Nb 2.7142 0.0000 2.9219
Nb 0.0000 0.0000 5.8439
O 4.0552 -0.8872 1.9197
O 1.8269 -1.3411 3.9241
O 1.8444 1.3697 -1.0137
O 1.3731 0.8872 1.9197
O 1.3445 -0.8697 6.8575
O 3.6014 1.3411 3.9241
O 0.8697 1.3445 4.8302
O 1.3697 3.5839 1.0137
```

Peak list (6 most intense, 2θ from 15° to 90°, low angle first)
2theta	I (rel.)
27.8	1000
33.0	198
45.6	311
52.7	165
55.8	278
73.6	190